(1)
Structure and calculated X-ray powder pattern of SrCd2BO4 (the PBE geometry in Alexandria; a wavelength of 1.5418 Å).

Cell and atoms:
Cell: 7.1066 7.1175 9.0959 Å, 90.00 90.00 90.00°
Space group Fmm2 (No. 42)
Asymmetric unit:
Sr 0.0000 0.0000 0.0000 x4
Cd 0.2500 0.2500 0.2498 x8
B 0.0000 0.0000 0.4995 x4
O 0.0000 0.1758 0.5941 x8
O 0.1760 0.0000 0.4048 x8

Top 10 peaks for 10 to 80 degrees two-theta, in order of rising 2θ:
- (2 0 0), 25.04 deg, I = 12
- (2 0 2), 31.95 deg, I = 100
- (2 2 0), 35.71 deg, I = 27
- (0 0 4), 39.63 deg, I = 10
- (2 2 2), 41.02 deg, I = 10
- (4 0 0), 51.39 deg, I = 13
- (2 2 4), 54.40 deg, I = 23
- (4 2 2), 61.80 deg, I = 25
- (4 0 4), 66.79 deg, I = 10
- (0 2 6), 67.12 deg, I = 10

---

(2)
Structure and calculated X-ray powder pattern of La3PmTh2Se6 (the PBE geometry in Alexandria; a wavelength of 1.5418 Å).

Cell and atoms:
Cell: 7.3740 12.7117 7.3887 Å, 90.00 109.28 90.00°
Space group C2/m (No. 12)
Asymmetric unit:
La 0.0000 0.0000 0.0000 x2
La 0.0000 0.3340 0.0000 x4
Pm 0.0000 0.5000 0.5000 x2
Th 0.0000 0.1668 0.5000 x4
Se 0.2475 0.3337 0.7438 x8
Se 0.2488 0.0000 0.7431 x4

Top 10 peaks for 10 to 80 degrees two-theta, in order of rising 2θ:
- (1 3 -1), 25.71 deg, I = 12
- (1 3 1), 29.69 deg, I = 100
- (2 0 2), 42.31 deg, I = 13
- (3 3 -1), 42.49 deg, I = 50
- (0 6 0), 42.68 deg, I = 12
- (2 6 -2), 52.85 deg, I = 13
- (2 6 2), 61.65 deg, I = 12
- (0 6 4), 69.85 deg, I = 11
- (4 6 0), 69.95 deg, I = 11
- (3 9 -1), 78.01 deg, I = 9

---

(3)
Structure and calculated X-ray powder pattern of Ho6InAg5 (the PBE geometry in Alexandria; a wavelength of 1.5418 Å).

Cell and atoms:
Cell: 5.1306 15.3909 7.3614 Å, 90.00 90.00 90.00°
Space group Cmmm (No. 65)
Asymmetric unit:
Ho 0.0000 0.0000 0.2412 x4
Ho 0.0000 0.3307 0.2469 x8
In 0.0000 0.5000 0.5000 x2
Ag 0.0000 0.1615 0.5000 x4
Ag 0.0000 0.1666 0.0000 x4
Ag 0.0000 0.5000 0.0000 x2

Top 10 peaks for 10 to 80 degrees two-theta, in order of rising 2θ:
- (0 0 2), 24.18 deg, I = 2
- (1 3 0), 24.54 deg, I = 4
- (1 3 2), 34.72 deg, I = 100
- (2 0 0), 34.98 deg, I = 49
- (0 0 4), 49.53 deg, I = 9
- (2 6 0), 50.30 deg, I = 17
- (2 0 4), 62.07 deg, I = 18
- (3 3 2), 62.57 deg, I = 35
- (2 6 4), 73.28 deg, I = 11
- (4 0 0), 73.89 deg, I = 5